(1)
Structure and theoretical X-ray diffraction stick pattern of NdB4ClO8 (a DFT-relaxed cell (PBE, the Materials Project); Cu Kα (weighted mean of Kα1 and Kα2)).

Peak list (10 most intense, 10 to 90 degrees two-theta, by angle)
2θ/deg	Rel. int.
15.66	69
16.04	22
16.56	100
19.09	77
20.59	51
27.52	31
29.43	50
31.46	28
36.52	28
41.92	43

Atomic structure:
a = 6.548 Å, b = 6.548 Å, c = 9.676 Å
α = 98.03°, β = 98.03°, γ = 119.56°
Sites, in units of the cell vectors:
Nd (0.208, 0.792, 0.500)
Nd (0.792, 0.208, 0.000)
B (0.050, 0.234, 0.374)
B (0.140, 0.633, 0.852)
B (0.234, 0.050, 0.874)
B (0.426, 0.497, 0.939)
B (0.497, 0.426, 0.439)
B (0.633, 0.140, 0.352)
B (0.753, 0.856, 0.424)
B (0.856, 0.753, 0.924)
Cl (0.038, 0.678, 0.196)
Cl (0.678, 0.038, 0.696)
O (0.018, 0.993, 0.931)
O (0.135, 0.603, 0.700)
O (0.182, 0.994, 0.718)
O (0.206, 0.480, 0.920)
O (0.296, 0.439, 0.443)
O (0.325, 0.893, 0.910)
O (0.439, 0.296, 0.943)
O (0.480, 0.206, 0.420)
O (0.573, 0.901, 0.382)
O (0.603, 0.135, 0.200)
O (0.639, 0.716, 0.953)
O (0.716, 0.639, 0.453)
O (0.893, 0.325, 0.410)
O (0.901, 0.573, 0.882)
O (0.993, 0.018, 0.431)
O (0.994, 0.182, 0.218)

=====

(2)
Structure and theoretical X-ray diffraction stick pattern of PrB4ClO8 (a DFT-relaxed cell (PBE, the Materials Project); Cu Kα (weighted mean of Kα1 and Kα2)).

Peak list (10 most intense, 10 to 90 degrees two-theta, by angle)
2θ/deg	Rel. int.
15.62	69
16.52	100
18.96	80
20.50	52
27.45	32
29.29	52
31.41	29
36.28	29
38.44	29
47.31	33

Atomic structure:
a = 6.565 Å, b = 6.565 Å, c = 9.741 Å
α = 97.97°, β = 97.97°, γ = 119.64°
Sites, in units of the cell vectors:
Pr (0.207, 0.793, 0.500)
Pr (0.793, 0.207, 0.000)
B (0.050, 0.234, 0.375)
B (0.141, 0.633, 0.852)
B (0.234, 0.050, 0.875)
B (0.427, 0.497, 0.938)
B (0.497, 0.427, 0.438)
B (0.633, 0.141, 0.352)
B (0.754, 0.858, 0.425)
B (0.858, 0.754, 0.925)
Cl (0.038, 0.680, 0.196)
Cl (0.680, 0.038, 0.696)
O (0.020, 0.993, 0.933)
O (0.133, 0.600, 0.701)
O (0.179, 0.994, 0.720)
O (0.208, 0.481, 0.920)
O (0.296, 0.439, 0.443)
O (0.325, 0.892, 0.908)
O (0.439, 0.296, 0.943)
O (0.481, 0.208, 0.420)
O (0.574, 0.903, 0.383)
O (0.600, 0.133, 0.201)
O (0.640, 0.716, 0.952)
O (0.716, 0.640, 0.452)
O (0.892, 0.325, 0.408)
O (0.903, 0.574, 0.883)
O (0.993, 0.020, 0.433)
O (0.994, 0.179, 0.220)

=====

(3)
Structure and theoretical X-ray diffraction stick pattern of PrB2ClO4 (a DFT-relaxed cell (PBE, the Materials Project); Cu Kα (weighted mean of Kα1 and Kα2)).

Peak list (10 most intense, 10 to 90 degrees two-theta, by angle)
2θ/deg	Rel. int.
14.21	100
21.93	62
24.48	22
24.85	30
25.45	30
33.15	23
33.54	29
33.77	29
42.42	22
42.54	24

Atomic structure:
a = 4.252 Å, b = 6.609 Å, c = 8.186 Å
α = 82.13°, β = 89.02°, γ = 72.20°
Sites, in units of the cell vectors:
Pr (0.207, 0.034, 0.222)
Pr (0.793, 0.966, 0.778)
B (0.169, 0.348, 0.851)
B (0.434, 0.438, 0.196)
B (0.566, 0.562, 0.804)
B (0.831, 0.652, 0.149)
Cl (0.146, 0.200, 0.543)
Cl (0.854, 0.800, 0.457)
O (0.095, 0.464, 0.179)
O (0.163, 0.153, 0.921)
O (0.370, 0.764, 0.789)
O (0.482, 0.372, 0.815)
O (0.518, 0.628, 0.185)
O (0.630, 0.236, 0.211)
O (0.837, 0.847, 0.079)
O (0.905, 0.536, 0.821)